Simulated XRD peak list of Ag3Te2Br2O6 for CuKα, from a cell relaxed with PBE.

Crystal structure
a = 9.824 Å, b = 6.670 Å, c = 8.169 Å
α = 90.00°, β = 111.83°, γ = 90.00°
Space group C2/m (No. 12)
One atom of each set of equivalent atoms:
Ag 0.000 0.000 0.000 [2 per cell]
Ag 0.100 0.500 0.840 [4 per cell]
Te 0.166 0.000 0.717 [4 per cell]
Br 0.211 0.500 0.606 [4 per cell]
O 0.087 0.188 0.838 [8 per cell]
O 0.138 0.500 0.132 [4 per cell]

Main lines, sorted by position (5 to 70 degrees two-theta):
(hkl)	d_spacing	intensity
0 0 1	7.583	14.8
2 0 1	3.390	100.0
0 2 0	3.335	87.3
3 1 -2	2.714	68.5
1 1 -3	2.509	69.2
2 2 1	2.378	54.4
5 1 -1	1.868	20.7
3 3 -2	1.780	23.7
1 3 -3	1.719	24.7
1 1 4	1.677	19.2